This entry pairs a crystal structure of Sr4Al6WO16 with its simulated XRD peak list. Radiation: Cu Kα (weighted mean of Kα1 and Kα2). Structure: a DFT-relaxed cell (PBE+U, the Materials Project).
Neutral-atom scattering factors, no anomalous dispersion.

The 10 most intense peaks (5 to 70 degrees two-theta), low angle first:
- 2θ = 12.99°, intensity 22
- 2θ = 22.60°, intensity 100
- 2θ = 26.15°, intensity 74
- 2θ = 34.83°, intensity 26
- 2θ = 37.32°, intensity 29
- 2θ = 39.68°, intensity 21
- 2θ = 46.14°, intensity 45
- 2θ = 51.97°, intensity 15
- 2θ = 53.81°, intensity 25
- 2θ = 60.78°, intensity 17

Crystal structure
Lattice parameters (Å, degrees): 8.347 8.347 8.347 109.47 109.47 109.47
Fractional coordinates of all 27 atoms:
Sr (0.000, 0.000, 0.496)
Sr (0.000, 0.496, 0.000)
Sr (0.496, 0.000, 0.000)
Sr (0.504, 0.504, 0.504)
Al (0.250, 0.500, 0.750)
Al (0.250, 0.750, 0.500)
Al (0.500, 0.250, 0.750)
Al (0.500, 0.750, 0.250)
Al (0.750, 0.250, 0.500)
Al (0.750, 0.500, 0.250)
W (0.000, 0.000, 0.000)
O (0.000, 0.000, 0.784)
O (0.000, 0.340, 0.656)
O (0.000, 0.656, 0.340)
O (0.000, 0.784, 0.000)
O (0.216, 0.216, 0.216)
O (0.316, 0.660, 0.660)
O (0.340, 0.000, 0.656)
O (0.340, 0.656, 0.000)
O (0.344, 0.344, 0.684)
O (0.344, 0.684, 0.344)
O (0.656, 0.000, 0.340)
O (0.656, 0.340, 0.000)
O (0.660, 0.316, 0.660)
O (0.660, 0.660, 0.316)
O (0.684, 0.344, 0.344)
O (0.784, 0.000, 0.000)

=====

This entry pairs a crystal structure of TaAlW2O8 with its simulated XRD peak list. Radiation: Cu Kα (weighted mean of Kα1 and Kα2). Structure: a DFT-relaxed cell (PBE+U, the Materials Project).
Neutral-atom scattering factors, no anomalous dispersion.

The 10 most intense peaks (5 to 70 degrees two-theta), low angle first:
- 2θ = 15.69°, intensity 100
- 2θ = 21.91°, intensity 21
- 2θ = 23.95°, intensity 84
- 2θ = 28.82°, intensity 58
- 2θ = 29.99°, intensity 58
- 2θ = 31.04°, intensity 28
- 2θ = 34.95°, intensity 29
- 2θ = 36.12°, intensity 20
- 2θ = 40.61°, intensity 31
- 2θ = 43.68°, intensity 27

Crystal structure
Lattice parameters (Å, degrees): 5.224 5.399 5.964 71.30 87.33 76.36
Fractional coordinates of all 12 atoms:
Ta (0.000, 0.000, 0.000)
Al (0.319, 0.128, 0.461)
W (0.280, 0.519, 0.821)
W (0.728, 0.516, 0.166)
O (0.129, 0.248, 0.168)
O (0.143, 0.242, 0.691)
O (0.345, 0.782, 0.536)
O (0.352, 0.758, 0.039)
O (0.593, 0.265, 0.423)
O (0.661, 0.308, 0.938)
O (0.846, 0.796, 0.266)
O (0.906, 0.751, 0.851)

=====

This entry pairs a crystal structure of TaAlW2O8 with its simulated XRD peak list. Radiation: Cu Kα (weighted mean of Kα1 and Kα2). Structure: a DFT-relaxed cell (PBE+U, the Materials Project).
Neutral-atom scattering factors, no anomalous dispersion.

The 10 most intense peaks (5 to 70 degrees two-theta), low angle first:
- 2θ = 19.54°, intensity 14
- 2θ = 24.78°, intensity 42
- 2θ = 30.24°, intensity 100
- 2θ = 34.51°, intensity 21
- 2θ = 36.32°, intensity 30
- 2θ = 42.95°, intensity 17
- 2θ = 52.62°, intensity 25
- 2θ = 54.01°, intensity 31
- 2θ = 59.21°, intensity 16
- 2θ = 64.44°, intensity 16

Crystal structure
Lattice parameters (Å, degrees): 5.198 5.625 10.675 90.00 119.00 90.00
Fractional coordinates of all 24 atoms:
Ta (0.000, 0.143, 0.250)
Ta (0.000, 0.857, 0.750)
Al (0.500, 0.169, 0.750)
Al (0.500, 0.831, 0.250)
W (0.247, 0.339, 0.002)
W (0.247, 0.661, 0.502)
W (0.753, 0.339, 0.498)
W (0.753, 0.661, 0.998)
O (0.217, 0.386, 0.619)
O (0.217, 0.614, 0.119)
O (0.220, 0.097, 0.140)
O (0.220, 0.903, 0.640)
O (0.283, 0.373, 0.384)
O (0.283, 0.627, 0.884)
O (0.289, 0.126, 0.857)
O (0.289, 0.874, 0.357)
O (0.711, 0.126, 0.643)
O (0.711, 0.874, 0.143)
O (0.717, 0.373, 0.116)
O (0.717, 0.627, 0.616)
O (0.780, 0.097, 0.360)
O (0.780, 0.903, 0.860)
O (0.783, 0.386, 0.881)
O (0.783, 0.614, 0.381)

=====

This entry pairs a crystal structure of TiAlW2O8 with its simulated XRD peak list. Radiation: Cu Kα (weighted mean of Kα1 and Kα2). Structure: a DFT-relaxed cell (PBE+U, the Materials Project).
Neutral-atom scattering factors, no anomalous dispersion.

The 10 most intense peaks (5 to 70 degrees two-theta), low angle first:
- 2θ = 16.27°, intensity 60
- 2θ = 17.72°, intensity 100
- 2θ = 23.99°, intensity 39
- 2θ = 24.54°, intensity 39
- 2θ = 24.77°, intensity 89
- 2θ = 29.77°, intensity 57
- 2θ = 31.07°, intensity 54
- 2θ = 32.89°, intensity 35
- 2θ = 34.47°, intensity 36
- 2θ = 36.19°, intensity 30

Crystal structure
Lattice parameters (Å, degrees): 5.069 5.466 5.677 73.65 85.52 72.08
Fractional coordinates of all 12 atoms:
Ti (0.000, 0.000, 0.000)
Al (0.558, 0.915, 0.561)
W (0.241, 0.462, 0.812)
W (0.696, 0.501, 0.167)
O (0.085, 0.232, 0.152)
O (0.228, 0.124, 0.736)
O (0.289, 0.657, 0.066)
O (0.337, 0.726, 0.545)
O (0.618, 0.225, 0.421)
O (0.658, 0.270, 0.924)
O (0.776, 0.764, 0.283)
O (0.816, 0.736, 0.817)

=====

This entry pairs a crystal structure of TiAlW2O8 with its simulated XRD peak list. Radiation: Cu Kα (weighted mean of Kα1 and Kα2). Structure: a DFT-relaxed cell (PBE+U, the Materials Project).
Neutral-atom scattering factors, no anomalous dispersion.

The 10 most intense peaks (5 to 70 degrees two-theta), low angle first:
- 2θ = 15.88°, intensity 44
- 2θ = 19.20°, intensity 95
- 2θ = 23.68°, intensity 83
- 2θ = 25.02°, intensity 95
- 2θ = 30.51°, intensity 100
- 2θ = 30.82°, intensity 98
- 2θ = 35.32°, intensity 39
- 2θ = 36.75°, intensity 58
- 2θ = 41.90°, intensity 48
- 2θ = 54.45°, intensity 36

Crystal structure
Lattice parameters (Å, degrees): 5.082 5.580 10.489 90.00 118.21 90.00
Fractional coordinates of all 24 atoms:
Ti (0.000, 0.135, 0.250)
Ti (0.000, 0.865, 0.750)
Al (0.500, 0.157, 0.750)
Al (0.500, 0.843, 0.250)
W (0.257, 0.345, 0.002)
W (0.257, 0.655, 0.502)
W (0.743, 0.345, 0.498)
W (0.743, 0.655, 0.998)
O (0.205, 0.375, 0.616)
O (0.205, 0.625, 0.116)
O (0.225, 0.113, 0.137)
O (0.225, 0.887, 0.637)
O (0.280, 0.369, 0.379)
O (0.280, 0.631, 0.879)
O (0.288, 0.129, 0.856)
O (0.288, 0.871, 0.356)
O (0.712, 0.129, 0.644)
O (0.712, 0.871, 0.144)
O (0.720, 0.369, 0.121)
O (0.720, 0.631, 0.621)
O (0.775, 0.113, 0.363)
O (0.775, 0.887, 0.863)
O (0.795, 0.375, 0.884)
O (0.795, 0.625, 0.384)